Record 1
The following is a computed powder diffraction line list of KMgPaS4. It was derived from a structure optimized by DFT (GGA-PBE), using copper Kα.
Peak positions follow from Bragg's law for the DFT cell and can differ from measured ones.

Atomic structure:
abc: 8.274 8.552 10.871
angles: 90.00 90.00 90.00
Space group Imma (No. 74)
Symmetry-distinct sites (fractional):
K 0.000 0.250 0.147
Mg 0.250 0.250 0.750
Pa 0.000 0.000 0.500
S 0.000 0.057 0.736
S 0.200 0.250 0.497

Most intense lines, 15° ≤ 2θ ≤ 90°, in order of rising 2θ:
2θ/deg	I_rel
16.3	42
21.5	42
24.8	100
26.9	54
30.1	57
33.0	27
34.4	37
39.8	59
45.2	54
50.8	21



Record 2
The following is a computed powder diffraction line list of KMg2Tl4Pb. It was derived from a structure optimized by DFT (GGA-PBE), using copper Kα.
Peak positions follow from Bragg's law for the DFT cell and can differ from measured ones.

Atomic structure:
abc: 5.3372 5.3372 31.1619
angles: 90.00 90.00 120.00
Space group R-3m (No. 166, hexagonal axes)
Symmetry-distinct sites (fractional):
K 0.0000 0.0000 0.0000
Mg 0.0000 0.0000 0.2229
Tl 0.0000 0.0000 0.1177
Tl 0.0000 0.0000 0.3980
Pb 0.0000 0.0000 0.5000

Most intense lines, 15° ≤ 2θ ≤ 90°, in order of rising 2θ:
2θ/deg	I_rel
20.0	36
22.4	44
30.0	70
33.6	100
34.7	65
37.2	24
45.6	22
49.1	20
57.8	22
60.8	24



Record 3
The following is a computed powder diffraction line list of K2RbMg. It was derived from a structure optimized by DFT (GGA-PBE), using copper Kα.
Peak positions follow from Bragg's law for the DFT cell and can differ from measured ones.

Atomic structure:
abc: 6.397 6.401 11.863
angles: 90.00 90.06 90.00
Space group Cm (No. 8)
Symmetry-distinct sites (fractional):
K 0.000 0.000 0.000
K 0.001 0.000 0.375
Rb 0.499 0.000 0.688
Mg 0.004 0.500 0.187

Most intense lines, 15° ≤ 2θ ≤ 90°, in order of rising 2θ:
2θ/deg	I_rel
21.0	43
22.5	20
24.7	100
27.9	48
36.1	23
36.2	16
39.8	17
43.0	13
46.2	11
47.5	31



Record 4
The following is a computed powder diffraction line list of KRbMg2. It was derived from a structure optimized by DFT (GGA-PBE), using copper Kα.
Peak positions follow from Bragg's law for the DFT cell and can differ from measured ones.

Atomic structure:
abc: 10.348 10.348 7.135
angles: 90.00 90.00 90.00
Space group I-42d (No. 122)
Symmetry-distinct sites (fractional):
K 0.000 0.000 0.000
Rb 0.000 0.000 0.500
Mg 0.242 0.750 0.125

Most intense lines, 15° ≤ 2θ ≤ 90°, in order of rising 2θ:
2θ/deg	I_rel
17.1	41
24.3	100
27.8	83
34.7	38
37.3	74
45.0	21
51.8	27
54.4	20
58.0	19
66.1	22



Record 5
The following is a computed powder diffraction line list of KMgRh2. It was derived from a structure optimized by DFT (GGA-PBE), using copper Kα.
Peak positions follow from Bragg's law for the DFT cell and can differ from measured ones.

Atomic structure:
abc: 8.684 2.924 7.508
angles: 90.00 95.26 90.00
Space group Cm (No. 8)
Symmetry-distinct sites (fractional):
K 0.000 0.000 0.000
Mg 0.220 0.000 0.609
Rh 0.255 0.500 0.319
Rh 0.491 0.000 0.417

Most intense lines, 15° ≤ 2θ ≤ 90°, in order of rising 2θ:
2θ/deg	I_rel
23.8	54
30.1	45
34.9	100
36.0	21
40.1	20
41.1	47
41.8	38
45.0	59
49.2	25
49.9	26



Record 6
The following is a computed powder diffraction line list of KMgS14. It was derived from a structure optimized by DFT (GGA-PBE), using copper Kα.
Peak positions follow from Bragg's law for the DFT cell and can differ from measured ones.

Atomic structure:
abc: 17.857 18.398 9.245
angles: 90.00 118.83 90.00
Space group C2/c (No. 15)
Symmetry-distinct sites (fractional):
K 0.000 0.063 0.250
Mg 0.000 0.500 0.000
S 0.038 0.198 0.691
S 0.053 0.367 0.461
S 0.106 0.364 0.320
S 0.114 0.039 0.647
S 0.127 0.438 0.030
S 0.134 0.122 0.800
S 0.146 0.468 0.259

Most intense lines, 15° ≤ 2θ ≤ 90°, in order of rising 2θ:
2θ/deg	I_rel
20.5	26
22.1	32
22.4	100
22.7	48
24.8	41
25.7	47
27.8	35
31.4	93
35.7	28
42.4	30



Record 7
The following is a computed powder diffraction line list of K2MgSbS4. It was derived from a structure optimized by DFT (GGA-PBE), using copper Kα.
Peak positions follow from Bragg's law for the DFT cell and can differ from measured ones.

Atomic structure:
abc: 6.339 14.228 22.730
angles: 90.00 90.00 90.00
Space group Fddd (No. 70, origin choice 2)
Symmetry-distinct sites (fractional):
K 0.125 0.125 0.307
Mg 0.125 0.125 0.125
Sb 0.125 0.125 0.625
S 0.118 0.271 0.428

Most intense lines, 15° ≤ 2θ ≤ 90°, in order of rising 2θ:
2θ/deg	I_rel
15.6	62
15.8	28
19.3	26
26.3	100
26.7	49
30.9	31
37.0	36
38.9	29
45.1	33
47.9	26



Record 8
The following is a computed powder diffraction line list of KMgSc4S8. It was derived from a structure optimized by DFT (GGA-PBE), using copper Kα.
Peak positions follow from Bragg's law for the DFT cell and can differ from measured ones.

Atomic structure:
abc: 7.7974 7.7974 19.0815
angles: 90.00 90.00 120.00
Space group R3m (No. 160, hexagonal axes)
Symmetry-distinct sites (fractional):
K 0.0000 0.0000 0.0000
Mg 0.0000 0.0000 0.3988
Sc 0.0000 0.0000 0.7639
Sc 0.0147 0.5073 0.8885
S 0.0000 0.0000 0.1513
S 0.0000 0.0000 0.6325
S 0.0112 0.5056 0.1465
S 0.2009 0.4018 0.9689

Most intense lines, 15° ≤ 2θ ≤ 90°, in order of rising 2θ:
2θ/deg	I_rel
22.8	35
26.8	80
28.0	13
32.5	74
42.6	57
46.6	100
58.0	13
65.0	14
77.4	13
86.5	22



Record 9
The following is a computed powder diffraction line list of K2Mg2SeS2. It was derived from a structure optimized by DFT (GGA-PBE), using copper Kα.
Peak positions follow from Bragg's law for the DFT cell and can differ from measured ones.

Atomic structure:
abc: 14.171 4.119 8.111
angles: 90.00 124.01 90.00
Space group C2/m (No. 12)
Symmetry-distinct sites (fractional):
K 0.065 0.000 0.275
Mg 0.196 0.500 0.818
Se 0.000 0.500 0.500
S 0.188 0.500 0.121

Most intense lines, 15° ≤ 2θ ≤ 90°, in order of rising 2θ:
2θ/deg	I_rel
24.2	20
25.1	68
28.8	100
31.8	54
32.0	38
34.2	38
44.0	26
44.4	35
50.6	25
51.3	19



Record 10
The following is a computed powder diffraction line list of K3Tb2MgS6. It was derived from a structure optimized by DFT (GGA-PBE), using copper Kα.
Peak positions follow from Bragg's law for the DFT cell and can differ from measured ones.

Atomic structure:
abc: 6.927 12.000 7.749
angles: 90.00 107.35 90.00
Space group C2/m (No. 12)
Symmetry-distinct sites (fractional):
K 0.000 0.000 0.000
K 0.000 0.333 0.000
Tb 0.000 0.167 0.500
Mg 0.000 0.500 0.500
S 0.230 0.337 0.700
S 0.240 0.000 0.700

Most intense lines, 15° ≤ 2θ ≤ 90°, in order of rising 2θ:
2θ/deg	I_rel
15.3	13
26.0	13
27.0	22
30.4	100
38.5	15
41.7	37
45.3	33
47.1	13
55.6	17
74.5	14



Record 11
The following is a computed powder diffraction line list of KTbMgS3. It was derived from a structure optimized by DFT (GGA-PBE), using copper Kα.
Peak positions follow from Bragg's law for the DFT cell and can differ from measured ones.

Atomic structure:
abc: 8.721 4.122 9.831
angles: 90.00 106.95 90.00
Space group P2_1/m (No. 11)
Symmetry-distinct sites (fractional):
K 0.201 0.250 0.212
Tb 0.334 0.750 0.863
Mg 0.084 0.250 0.609
S 0.116 0.250 0.860
S 0.199 0.750 0.546
S 0.459 0.750 0.149

Most intense lines, 15° ≤ 2θ ≤ 90°, in order of rising 2θ:
2θ/deg	I_rel
23.6	26
24.1	51
28.5	45
30.0	100
30.5	63
33.3	26
35.1	27
43.9	26
44.2	40
48.0	22



Record 12
The following is a computed powder diffraction line list of KMg14Sb. It was derived from a structure optimized by DFT (GGA-PBE), using copper Kα.
Peak positions follow from Bragg's law for the DFT cell and can differ from measured ones.

Atomic structure:
abc: 6.5823 6.5823 10.5481
angles: 90.00 90.00 120.00
Space group P-6m2 (No. 187)
Symmetry-distinct sites (fractional):
K 0.0000 0.0000 0.0000
Mg 0.0069 0.5034 0.0000
Mg 0.1718 0.3436 0.2623
Mg 0.5047 0.0093 0.5000
Mg 0.6667 0.3333 0.2457
Sb 0.0000 0.0000 0.5000

Most intense lines, 15° ≤ 2θ ≤ 90°, in order of rising 2θ:
2θ/deg	I_rel
15.5	21
17.7	19
23.0	21
31.4	27
34.0	25
35.8	100
46.9	17
55.9	17
62.0	18
67.0	19